This entry pairs a crystal structure of CuHF3 with its simulated powder XRD pattern. Radiation: Cu Ka. Structure: a PBE-relaxed structure.
Intensities are scaled so that the largest is 100.

Cell and atoms:
```
data_CuHF3
_cell_length_a 5.411
_cell_length_b 5.827
_cell_length_c 6.973
_cell_angle_alpha 90.00
_cell_angle_beta 92.29
_cell_angle_gamma 90.00
_symmetry_space_group_name_H-M 'P 1 21/c 1'
_symmetry_Int_Tables_number 14
loop_
_symmetry_equiv_pos_as_xyz
'x,y,z'
'-x,-y,-z'
'-x,y+1/2,-z+1/2'
'x,-y+1/2,z+1/2'
loop_
_atom_site_label
_atom_site_type_symbol
_atom_site_fract_x
_atom_site_fract_y
_atom_site_fract_z
_atom_site_occupancy
Cu1 Cu 0.103 0.244 0.095 1
H1 H 0.406 0.728 0.406 1
F1 F 0.089 0.105 0.346 1
F2 F 0.226 0.620 0.463 1
F3 F 0.444 0.171 0.648 1
```

The 10 most intense peaks (5 to 70 degrees two-theta), by intensity:
2θ (°)  Rel. int.
29.89  100
16.40  89
22.43  45
30.69  37
57.18  37
36.65  32
53.20  25
43.42  23
37.12  22
52.48  18


This entry pairs a crystal structure of Ac3Mg7Ga4 with its simulated powder XRD pattern. Radiation: Cu Ka. Structure: a PBE-relaxed structure.
Intensities are scaled so that the largest is 100.

Cell and atoms:
```
data_Ac3Mg7Ga4
_cell_length_a 17.659
_cell_length_b 4.730
_cell_length_c 10.531
_cell_angle_alpha 90.00
_cell_angle_beta 125.58
_cell_angle_gamma 90.00
_symmetry_space_group_name_H-M 'C 1 2/m 1'
_symmetry_Int_Tables_number 12
loop_
_symmetry_equiv_pos_as_xyz
'x,y,z'
'-x,-y,-z'
'-x,y,-z'
'x,-y,z'
'x+1/2,y+1/2,z'
'-x+1/2,-y+1/2,-z'
'-x+1/2,y+1/2,-z'
'x+1/2,-y+1/2,z'
loop_
_atom_site_label
_atom_site_type_symbol
_atom_site_fract_x
_atom_site_fract_y
_atom_site_fract_z
_atom_site_occupancy
Ac1 Ac 0.000 0.000 0.000 1
Ac2 Ac 0.199 0.500 0.709 1
Mg1 Mg 0.000 0.000 0.500 1
Mg2 Mg 0.007 0.500 0.301 1
Mg3 Mg 0.162 0.000 0.427 1
Mg4 Mg 0.171 0.500 0.017 1
Ga1 Ga 0.128 0.000 0.845 1
Ga2 Ga 0.154 0.500 0.268 1
```

The 10 most intense peaks (5 to 70 degrees two-theta), by intensity:
2θ (°)  Rel. int.
31.74  100
20.57  61
31.36  53
26.49  40
16.84  33
38.05  29
20.24  24
31.88  22
50.43  20
34.04  18


This entry pairs a crystal structure of Tb2Nd3In4 with its simulated powder XRD pattern. Radiation: Cu Ka. Structure: a PBE-relaxed structure.
Intensities are scaled so that the largest is 100.

Cell and atoms:
```
data_Tb2Nd3In4
_cell_length_a 9.332
_cell_length_b 5.394
_cell_length_c 10.374
_cell_angle_alpha 90.00
_cell_angle_beta 90.07
_cell_angle_gamma 90.00
_symmetry_space_group_name_H-M 'C 1 2/m 1'
_symmetry_Int_Tables_number 12
loop_
_symmetry_equiv_pos_as_xyz
'x,y,z'
'-x,-y,-z'
'-x,y,-z'
'x,-y,z'
'x+1/2,y+1/2,z'
'-x+1/2,-y+1/2,-z'
'-x+1/2,y+1/2,-z'
'x+1/2,-y+1/2,z'
loop_
_atom_site_label
_atom_site_type_symbol
_atom_site_fract_x
_atom_site_fract_y
_atom_site_fract_z
_atom_site_occupancy
Tb1 Tb 0.167 0.000 0.279 1
Nd1 Nd 0.000 0.500 0.500 1
Nd2 Nd 0.167 0.000 0.922 1
In1 In 0.000 0.500 0.155 1
In2 In 0.166 0.000 0.600 1
```

The 10 most intense peaks (5 to 70 degrees two-theta), by intensity:
2θ (°)  Rel. int.
32.21  100
33.24  96
58.74  35
46.96  35
59.39  18
56.78  17
69.78  11
67.40  10
25.67  5
55.92  4


This entry pairs a crystal structure of Sm12In6Co with its simulated powder XRD pattern. Radiation: Cu Ka. Structure: a PBE-relaxed structure.
Intensities are scaled so that the largest is 100.

Cell and atoms:
```
data_Sm12In6Co
_cell_length_a 12.3321
_cell_length_b 12.3321
_cell_length_c 13.4243
_cell_angle_alpha 90.00
_cell_angle_beta 90.00
_cell_angle_gamma 120.00
_symmetry_space_group_name_H-M 'R -3'
_symmetry_Int_Tables_number 148
_symmetry_space_group_name_Hall '-R 3'
loop_
_atom_site_label
_atom_site_type_symbol
_atom_site_fract_x
_atom_site_fract_y
_atom_site_fract_z
_atom_site_occupancy
Sm1 Sm 0.0371 0.8480 0.3894 1
Sm2 Sm 0.0397 0.1866 0.8743 1
In1 In 0.0041 0.6042 0.2597 1
Co1 Co 0.0000 0.0000 0.0000 1
```

The 10 most intense peaks (5 to 70 degrees two-theta), by intensity:
2θ (°)  Rel. int.
30.92  100
35.35  79
27.87  58
33.06  46
40.34  25
34.76  25
28.96  21
57.71  16
47.91  14
67.23  13


This entry pairs a crystal structure of Pa3Tl3NiSe8 with its simulated powder XRD pattern. Radiation: Cu Ka. Structure: a PBE-relaxed structure.
Intensities are scaled so that the largest is 100.

Cell and atoms:
```
data_Pa3Tl3NiSe8
_cell_length_a 14.018
_cell_length_b 8.121
_cell_length_c 9.274
_cell_angle_alpha 90.00
_cell_angle_beta 120.19
_cell_angle_gamma 90.00
_symmetry_space_group_name_H-M 'C 1 2/m 1'
_symmetry_Int_Tables_number 12
loop_
_symmetry_equiv_pos_as_xyz
'x,y,z'
'-x,-y,-z'
'-x,y,-z'
'x,-y,z'
'x+1/2,y+1/2,z'
'-x+1/2,-y+1/2,-z'
'-x+1/2,y+1/2,-z'
'x+1/2,-y+1/2,z'
loop_
_atom_site_label
_atom_site_type_symbol
_atom_site_fract_x
_atom_site_fract_y
_atom_site_fract_z
_atom_site_occupancy
Pa1 Pa 0.000 0.000 0.000 1
Pa2 Pa 0.250 0.250 0.000 1
Tl1 Tl 0.000 0.500 0.500 1
Tl2 Tl 0.250 0.250 0.500 1
Ni1 Ni 0.000 0.500 0.000 1
Se1 Se 0.016 0.259 0.807 1
Se2 Se 0.222 0.500 0.191 1
Se3 Se 0.237 0.000 0.210 1
```

The 10 most intense peaks (5 to 70 degrees two-theta), by intensity:
2θ (°)  Rel. int.
29.46  100
39.47  38
44.76  24
26.45  18
14.61  17
22.18  13
54.40  12
44.63  11
11.04  11
61.14  11


This entry pairs a crystal structure of ZnH10C4N6Cl2O4 with its simulated powder XRD pattern. Radiation: Cu Ka. Structure: a PBE-relaxed structure.
Intensities are scaled so that the largest is 100.

Cell and atoms:
```
data_ZnH10C4N6Cl2O4
_cell_length_a 8.118
_cell_length_b 7.425
_cell_length_c 11.800
_cell_angle_alpha 90.00
_cell_angle_beta 122.48
_cell_angle_gamma 90.00
_symmetry_space_group_name_H-M 'P 1 21/c 1'
_symmetry_Int_Tables_number 14
loop_
_symmetry_equiv_pos_as_xyz
'x,y,z'
'-x,-y,-z'
'-x,y+1/2,-z+1/2'
'x,-y+1/2,z+1/2'
loop_
_atom_site_label
_atom_site_type_symbol
_atom_site_fract_x
_atom_site_fract_y
_atom_site_fract_z
_atom_site_occupancy
Zn1 Zn 0.000 0.000 0.000 1
H1 H 0.098 0.094 0.468 1
H2 H 0.222 0.066 0.383 1
H3 H 0.286 0.690 0.839 1
H4 H 0.328 0.148 0.799 1
H5 H 0.418 0.565 0.299 1
C1 C 0.156 0.665 0.946 1
C2 C 0.236 0.548 0.374 1
N1 N 0.170 0.013 0.438 1
N2 N 0.237 0.734 0.388 1
N3 N 0.332 0.012 0.818 1
Cl1 Cl 0.313 0.056 0.232 1
O1 O 0.077 0.734 0.003 1
O2 O 0.152 0.059 0.909 1
```

The 10 most intense peaks (5 to 70 degrees two-theta), by intensity:
2θ (°)  Rel. int.
27.23  100
12.93  81
14.88  78
28.18  52
16.30  40
23.97  40
37.91  17
37.42  17
17.82  15
36.42  15